Theoretical X-ray diffraction stick pattern of Li4V2SiP2O12 for Cu Kα (weighted mean of Kα1 and Kα2), from a DFT-relaxed cell (PBE+U, Alexandria).
Lines closer than 0.1° are merged.

Most intense lines, 2θ from 10° to 90°, low angle first:
| two_theta | Rel. int. |
| --- | --- |
| 19.8 | 23 |
| 21.0 | 81 |
| 23.7 | 100 |
| 23.9 | 55 |
| 28.9 | 27 |
| 30.7 | 22 |
| 33.2 | 33 |
| 33.3 | 13 |
| 34.5 | 26 |
| 35.2 | 14 |
| 47.3 | 18 |
| 48.6 | 13 |

Cell and atoms:
```
data_Li4V2SiP2O12
_chemical_formula_sum 'Li8 V4 Si2 P4 O24'
_cell_length_a 8.5039
_cell_length_b 8.5039
_cell_length_c 8.5167
_cell_angle_alpha 116.33
_cell_angle_beta 116.33
_cell_angle_gamma 64.11
_space_group_name_H-M_alt 'P 1'
_space_group_IT_number 1
loop_
_space_group_symop_operation_xyz
'x,y,z'
loop_
_atom_site_label
_atom_site_type_symbol
_atom_site_fract_x
_atom_site_fract_y
_atom_site_fract_z
Li1 Li 0.0000 0.0000 0.0000
Li2 Li 0.0855 0.4944 0.0982
Li3 Li 0.1717 0.3983 0.6033
Li4 Li 0.3411 0.1627 0.2415
Li5 Li 0.5056 0.9145 0.9018
Li6 Li 0.6017 0.8283 0.3967
Li7 Li 0.6848 0.3152 0.5000
Li8 Li 0.8373 0.6589 0.7585
V1 V 0.1954 0.0160 0.3901
V2 V 0.4814 0.3006 0.1077
V3 V 0.6994 0.5186 0.8923
V4 V 0.9840 0.8046 0.6099
Si1 Si 0.0898 0.2060 0.7962
Si2 Si 0.7940 0.9102 0.2038
P1 P 0.2971 0.7029 0.0000
P2 P 0.3875 0.6125 0.5000
P3 P 0.5908 0.1057 0.7040
P4 P 0.8943 0.4092 0.2960
O1 O 0.0353 0.0340 0.7730
O2 O 0.0832 0.2542 0.3109
O3 O 0.1056 0.7177 0.8463
O4 O 0.1437 0.1786 0.6221
O5 O 0.2289 0.6420 0.5598
O6 O 0.2479 0.2371 0.0007
O7 O 0.2823 0.8944 0.1537
O8 O 0.3317 0.5464 0.0662
O9 O 0.3580 0.7711 0.4402
O10 O 0.4094 0.4204 0.3478
O11 O 0.4419 0.0849 0.5087
O12 O 0.4536 0.6683 0.9338
O13 O 0.5214 0.1335 0.8558
O14 O 0.5796 0.5906 0.6522
O15 O 0.5952 0.0756 0.1862
O16 O 0.6503 0.2697 0.7429
O17 O 0.7303 0.3497 0.2571
O18 O 0.7458 0.9168 0.6891
O19 O 0.7629 0.7521 0.9993
O20 O 0.8214 0.8563 0.3779
O21 O 0.8665 0.4786 0.1442
O22 O 0.9151 0.5581 0.4913
O23 O 0.9244 0.4048 0.8138
O24 O 0.9660 0.9647 0.2270
```